# Pr3CuSiSe7
Theoretical X-ray powder pattern, Cu Kα. Input: a cell relaxed with PBE.
Peak positions follow from Bragg's law for the DFT cell and can differ from measured ones.

Principal peaks in the range 10° ≤ 2θ ≤ 90°, in order of falling intensity:
2θ 34.9, I = 100.0, hkl 1 3 0; 2θ 30.8, I = 81.1, hkl 1 0 2; 2θ 29.4, I = 73.7, hkl 1 2 1; 2θ 39.1, I = 69.6, hkl 1 2 2; 2θ 33.5, I = 69.1, hkl 2 2 0; 2θ 32.4, I = 66.3, hkl 3 0 1; 2θ 37.9, I = 65.9, hkl 3 1 1; 2θ 24.1, I = 45.6, hkl 2 0 1; 2θ 35.2, I = 44.9, hkl 2 0 2; 2θ 45.0, I = 43.1, hkl 2 2 2

Crystal structure
abc: 10.712 10.712 6.112
angles: 90.00 90.00 120.00
Sites, in units of the cell vectors:
Pr  0.126  0.355  0.000
Pr  0.229  0.874  0.000
Pr  0.355  0.229  0.500
Pr  0.645  0.771  0.000
Pr  0.771  0.126  0.500
Pr  0.874  0.645  0.500
Cu  0.000  0.000  0.476
Cu  0.000  0.000  0.976
Si  0.333  0.667  0.587
Si  0.667  0.333  0.087
Se  0.090  0.254  0.485
Se  0.107  0.585  0.735
Se  0.164  0.910  0.485
Se  0.254  0.164  0.985
Se  0.333  0.667  0.216
Se  0.415  0.522  0.735
Se  0.478  0.893  0.735
Se  0.522  0.107  0.235
Se  0.585  0.478  0.235
Se  0.667  0.333  0.716
Se  0.746  0.836  0.485
Se  0.836  0.090  0.985
Se  0.893  0.415  0.235
Se  0.910  0.746  0.985